For Li9Mn2Co5O16, a structure optimized by DFT (GGA+U) gives the computed X-ray diffraction stick pattern in this record (copper Kα).
Lines closer than 0.1° are merged.

Cell and atoms:
a b c (Å): 5.7749 5.8482 9.7408
angles (deg): 90.61 98.50 119.54
Space group P1 (No. 1)
One atom of each set of equivalent atoms:
Li  0.0000  0.0000  0.0000 x1
Li  0.0005  0.4886  0.0027 x1
Li  0.2457  0.3653  0.2458 x1
Li  0.4901  0.2434  0.4865 x1
Li  0.4918  0.4904  0.9967 x1
Li  0.4940  0.7350  0.4937 x1
Li  0.4971  0.9906  0.0005 x1
Li  0.9955  0.7376  0.4919 x1
Li  0.9970  0.2397  0.4951 x1
Mn  0.2456  0.6138  0.7459 x1
Mn  0.7467  0.8663  0.2464 x1
Co  0.2459  0.1138  0.7462 x1
Co  0.2458  0.8657  0.2463 x1
Co  0.7447  0.1157  0.7457 x1
Co  0.7454  0.3652  0.2448 x1
Co  0.7460  0.6142  0.7463 x1
O  0.1032  0.5653  0.3475 x1
O  0.1101  0.0309  0.3561 x1
O  0.1266  0.7934  0.8619 x1
O  0.1303  0.3207  0.8642 x1
O  0.3595  0.9063  0.6308 x1
O  0.3650  0.4338  0.6274 x1
O  0.3830  0.7017  0.1373 x1
O  0.3865  0.1641  0.1422 x1
O  0.6003  0.7892  0.8620 x1
O  0.6020  0.0180  0.3642 x1
O  0.6109  0.3111  0.8629 x1
O  0.6368  0.5609  0.3529 x1
O  0.8544  0.1687  0.1374 x1
O  0.8812  0.9212  0.6311 x1
O  0.8895  0.4385  0.6285 x1
O  0.8915  0.7152  0.1286 x1

The 10 most intense peaks (2θ from 10° to 80°), in order of rising 2θ:
hkl	2theta	intensity
0 0 2	18.51	1000
0 2 -1	35.79	151
-2 2 1	36.34	262
0 0 4	37.56	82
0 2 -3	43.39	283
-2 2 3	44.08	540
2 0 -4	47.97	134
2 0 4	58.14	94
2 0 -6	63.51	145
2 2 -1	63.64	221

---

For Li2V2F7, a structure optimized by DFT (GGA+U) gives the computed X-ray diffraction stick pattern in this record (copper Kα).
Lines closer than 0.1° are merged.

Cell and atoms:
a b c (Å): 7.6147 6.7074 10.4472
angles (deg): 90.00 100.57 90.00
Space group C2/c (No. 15)
One atom of each set of equivalent atoms:
Li  0.0454  0.1956  0.4805 x8
V  0.2354  0.0046  0.7487 x8
F  0.0000  0.4593  0.7500 x4
F  0.0224  0.0405  0.8695 x8
F  0.1828  0.2570  0.1292 x8
F  0.2485  0.2462  0.3754 x8

The 10 most intense peaks (2θ from 10° to 80°), in order of rising 2θ:
hkl	2theta	intensity
0 0 2	17.27	1000
1 1 0	17.76	139
2 0 0	23.77	331
2 0 -2	26.78	263
0 2 2	31.87	494
2 2 2	42.12	167
0 2 4	44.44	269
2 2 -4	47.58	295
4 0 0	48.64	265
2 2 4	54.28	224

---

For LiCo2OF3, a structure optimized by DFT (GGA+U) gives the computed X-ray diffraction stick pattern in this record (copper Kα).
Lines closer than 0.1° are merged.

Cell and atoms:
a b c (Å): 10.2913 5.9991 5.1933
angles (deg): 90.00 90.00 90.00
Space group Pnma (No. 62)
One atom of each set of equivalent atoms:
Li  0.0896  0.2500  0.0251 x4
Co  0.0000  0.0000  0.5000 x4
Co  0.2448  0.7500  0.9978 x4
O  0.0845  0.2500  0.6684 x4
F  0.0751  0.7500  0.7913 x4
F  0.1664  0.0117  0.2292 x8

The 10 most intense peaks (2θ from 10° to 80°), in order of rising 2θ:
hkl	2theta	intensity
1 0 1	19.14	637
1 1 1	24.26	1000
3 0 1	31.25	317
2 2 0	34.60	401
3 1 1	34.73	255
1 2 1	35.65	335
2 2 1	38.83	265
2 2 2	49.70	833
4 0 2	49.90	324
6 2 0	62.36	264

---

For Sr3LaMn4O12, a structure optimized by DFT (GGA+U) gives the computed X-ray diffraction stick pattern in this record (copper Kα).
Lines closer than 0.1° are merged.

Cell and atoms:
a b c (Å): 7.7894 7.7894 7.7894
angles (deg): 90.00 90.00 90.00
Space group Im-3m (No. 229)
One atom of each set of equivalent atoms:
Sr  0.0000  0.0000  0.5000 x6
La  0.0000  0.0000  0.0000 x2
Mn  0.2500  0.2500  0.2500 x8
O  0.0000  0.2455  0.2455 x24

The 10 most intense peaks (2θ from 10° to 80°), in order of rising 2θ:
hkl	2theta	intensity
1 1 0	16.09	49
2 0 0	22.83	39
2 1 1	28.06	18
2 2 0	32.51	1000
2 2 2	40.10	164
4 0 0	46.64	370
4 2 0	52.54	27
4 2 2	58.01	377
4 4 0	68.09	212
6 2 0	77.50	161

---

For Li9Mn2Co5O16, a structure optimized by DFT (GGA+U) gives the computed X-ray diffraction stick pattern in this record (copper Kα).
Lines closer than 0.1° are merged.

Cell and atoms:
a b c (Å): 5.9025 6.5499 7.7318
angles (deg): 86.36 80.39 76.96
Space group P1 (No. 1)
One atom of each set of equivalent atoms:
Li  0.0000  0.0000  0.0000 x1
Li  0.0625  0.1225  0.6220 x1
Li  0.1862  0.3691  0.8759 x1
Li  0.3030  0.6391  0.1209 x1
Li  0.4345  0.8764  0.3736 x1
Li  0.5612  0.1223  0.6284 x1
Li  0.6896  0.3621  0.8850 x1
Li  0.8195  0.6341  0.1189 x1
Li  0.9382  0.8762  0.3779 x1
Mn  0.2469  0.5013  0.4986 x1
Mn  0.7525  0.4965  0.5006 x1
Co  0.1221  0.2498  0.2361 x1
Co  0.3690  0.7525  0.7574 x1
Co  0.4987  0.9998  0.9993 x1
Co  0.6301  0.2404  0.2440 x1
Co  0.8773  0.7548  0.7624 x1
O  0.0539  0.5609  0.3180 x1
O  0.0872  0.6887  0.9244 x1
O  0.1578  0.7978  0.5658 x1
O  0.2455  0.9531  0.1709 x1
O  0.3022  0.0405  0.8217 x1
O  0.3329  0.2108  0.4309 x1
O  0.4094  0.2899  0.0620 x1
O  0.4432  0.4530  0.6823 x1
O  0.5213  0.5443  0.3319 x1
O  0.5900  0.7066  0.9380 x1
O  0.6651  0.7893  0.5724 x1
O  0.6953  0.9561  0.1802 x1
O  0.7535  0.0508  0.8288 x1
O  0.8423  0.2001  0.4320 x1
O  0.9028  0.3176  0.0796 x1
O  0.9800  0.4428  0.6673 x1

The 10 most intense peaks (2θ from 10° to 80°), in order of rising 2θ:
hkl	2theta	intensity
0 1 -1	18.38	1000
2 0 -1	35.42	157
0 2 2	36.20	257
2 1 -2	42.86	290
0 3 1	43.92	535
2 -2 1	47.74	86
2 4 -1	62.81	77
4 1 1	63.05	147
-2 2 3	63.23	74
2 3 4	64.34	72

---

For BaYCo2O5, a structure optimized by DFT (GGA+U) gives the computed X-ray diffraction stick pattern in this record (copper Kα).
Lines closer than 0.1° are merged.

Cell and atoms:
a b c (Å): 7.8582 3.9478 7.5843
angles (deg): 90.00 90.00 90.00
Space group Pmma (No. 51)
One atom of each set of equivalent atoms:
Ba  0.0000  0.0000  0.0000 x2
Y  0.0000  0.0000  0.5000 x2
Co  0.2500  0.5000  0.2488 x2
Co  0.2500  0.5000  0.7279 x2
O  0.0031  0.5000  0.3128 x4
O  0.2500  0.0000  0.3145 x2
O  0.2500  0.0000  0.6893 x2
O  0.2500  0.5000  0.0085 x2

The 10 most intense peaks (2θ from 10° to 80°), in order of rising 2θ:
hkl	2theta	intensity
2 1 0	32.14	430
2 0 2	32.78	1000
2 1 2	40.17	137
0 2 0	45.98	158
4 0 0	46.21	155
0 0 4	47.98	96
2 2 2	57.64	192
4 1 2	57.79	190
2 1 4	58.93	202
4 2 0	67.24	92